Structure and calculated XRD peak list of Ca2HfTiO6 (a DFT-relaxed cell (GGA-PBE, the Materials Project); Cu Kα, 1.54184 Å).

Structural model:
```
Ca2HfTiO6
1.0
0.0000 3.9947 3.9947
3.9947 0.0000 3.9947
3.9947 3.9947 0.0000
Ca Hf Ti O
2 1 1 6
Direct
0.2500 0.2500 0.2500
0.7500 0.7500 0.7500
0.0000 0.0000 0.0000
0.5000 0.5000 0.5000
0.2562 0.2562 0.7438
0.2562 0.7438 0.2562
0.2562 0.7438 0.7438
0.7438 0.2562 0.2562
0.7438 0.2562 0.7438
0.7438 0.7438 0.2562
```

Most intense lines, 2θ = 15–90°, low angle first:
| 2θ (°) | I (rel.) |
| --- | --- |
| 19.2 | 44 |
| 22.3 | 48 |
| 31.7 | 100 |
| 37.3 | 29 |
| 45.4 | 38 |
| 56.4 | 38 |



Structure and calculated XRD peak list of Ca2HfZrO6 (a DFT-relaxed cell (GGA-PBE, the Materials Project); Cu Kα, 1.54184 Å).

Structural model:
```
Ca2HfZrO6
1.0
0.0000 4.1329 4.1329
4.1329 0.0000 4.1329
4.1329 4.1329 0.0000
Ca Hf Zr O
2 1 1 6
Direct
0.2500 0.2500 0.2500
0.7500 0.7500 0.7500
0.0000 0.0000 0.0000
0.5000 0.5000 0.5000
0.2482 0.2482 0.7518
0.2482 0.7518 0.2482
0.2482 0.7518 0.7518
0.7518 0.2482 0.2482
0.7518 0.2482 0.7518
0.7518 0.7518 0.2482
```

Most intense lines, 2θ = 15–90°, low angle first:
| 2θ (°) | I (rel.) |
| --- | --- |
| 21.5 | 56 |
| 30.6 | 100 |
| 43.8 | 36 |
| 49.3 | 24 |
| 54.4 | 40 |
| 63.7 | 21 |



Structure and calculated XRD peak list of CaHfS3 (a DFT-relaxed cell (GGA-PBE, the Materials Project); Cu Kα, 1.54184 Å).

Structural model:
```
CaHfS3
1.0
7.0179 0.0000 0.0000
0.0000 9.5982 0.0000
0.0000 0.0000 6.5603
Ca Hf S
4 4 12
Direct
0.0893 0.2500 0.0281
0.4107 0.7500 0.5281
0.5893 0.2500 0.4719
0.9107 0.7500 0.9719
0.0000 0.0000 0.5000
0.0000 0.5000 0.5000
0.5000 0.0000 0.0000
0.5000 0.5000 0.0000
0.0327 0.7500 0.3802
0.1904 0.5612 0.8166
0.1904 0.9388 0.8166
0.3096 0.0612 0.3166
0.3096 0.4388 0.3166
0.4673 0.2500 0.8802
0.5327 0.7500 0.1198
0.6904 0.5612 0.6834
0.6904 0.9388 0.6834
0.8096 0.0612 0.1834
0.8096 0.4388 0.1834
0.9673 0.2500 0.6198
```

Most intense lines, 2θ = 15–90°, low angle first:
| 2θ (°) | I (rel.) |
| --- | --- |
| 18.5 | 100 |
| 25.4 | 21 |
| 26.3 | 81 |
| 37.5 | 41 |
| 42.1 | 45 |
| 47.5 | 30 |